Record 1
Pm6Rh3S2Cl: calculated powder diffraction line list (Cu Kα X-rays), based on a cell relaxed with GGA-PBE.
Neutral-atom scattering factors, no anomalous dispersion.

Structure:
```
data_Pm6Rh3S2Cl
_cell_length_a 18.518
_cell_length_b 3.979
_cell_length_c 8.597
_cell_angle_alpha 90.00
_cell_angle_beta 109.20
_cell_angle_gamma 90.00
_space_group_name_H-M_alt 'C 1 2/m 1'
_space_group_IT_number 12
_space_group_name_Hall '-C 2y'
loop_
_atom_site_label
_atom_site_type_symbol
_atom_site_fract_x
_atom_site_fract_y
_atom_site_fract_z
Pm1 Pm 0.000 0.000 0.228
Pm2 Pm 0.165 0.500 0.084
Pm3 Pm 0.177 0.500 0.576
Rh1 Rh 0.000 0.500 0.000
Rh2 Rh 0.162 0.000 0.323
S1 S 0.165 0.000 0.825
Cl1 Cl 0.000 0.500 0.500
```

Main lines, in order of rising 2θ (10° ≤ 2θ ≤ 90°):
12.2 deg, 7.258 Å, I = 17; 27.1 deg, 3.288 Å, I = 17; 30.7 deg, 2.913 Å, I = 100; 42.3 deg, 2.137 Å, I = 38; 45.6 deg, 1.991 Å, I = 33; 55.9 deg, 1.644 Å, I = 17



Record 2
Pm4Ru2Cl3: calculated powder diffraction line list (Cu Kα X-rays), based on a cell relaxed with GGA-PBE.
Neutral-atom scattering factors, no anomalous dispersion.

Structure:
```
data_Pm4Ru2Cl3
_cell_length_a 4.0415
_cell_length_b 4.0415
_cell_length_c 17.9906
_cell_angle_alpha 90.00
_cell_angle_beta 90.00
_cell_angle_gamma 120.00
_space_group_name_H-M_alt 'P -3 m 1'
_space_group_IT_number 164
_space_group_name_Hall '-P 3 2"'
loop_
_atom_site_label
_atom_site_type_symbol
_atom_site_fract_x
_atom_site_fract_y
_atom_site_fract_z
Pm1 Pm 0.0000 0.0000 0.1975
Pm2 Pm 0.3333 0.6667 0.3759
Ru1 Ru 0.3333 0.6667 0.7078
Cl1 Cl 0.0000 0.0000 0.5000
Cl2 Cl 0.3333 0.6667 0.1012
```

Main lines, in order of rising 2θ (10° ≤ 2θ ≤ 90°):
29.6 deg, 3.023 Å, I = 100; 32.4 deg, 2.762 Å, I = 17; 35.8 deg, 2.509 Å, I = 23; 39.6 deg, 2.277 Å, I = 26; 44.9 deg, 2.021 Å, I = 38; 54.6 deg, 1.680 Å, I = 17



Record 3
Pm2RuCl: calculated powder diffraction line list (Cu Kα X-rays), based on a cell relaxed with GGA-PBE.
Neutral-atom scattering factors, no anomalous dispersion.

Structure:
```
data_Pm2RuCl
_cell_length_a 3.638
_cell_length_b 4.145
_cell_length_c 8.134
_cell_angle_alpha 89.95
_cell_angle_beta 77.17
_cell_angle_gamma 64.17
_space_group_name_H-M_alt 'P -1'
_space_group_IT_number 2
_space_group_name_Hall '-P 1'
loop_
_atom_site_label
_atom_site_type_symbol
_atom_site_fract_x
_atom_site_fract_y
_atom_site_fract_z
Pm1 Pm 0.083 0.128 0.205
Ru1 Ru 0.500 0.500 0.000
Cl1 Cl 0.500 0.000 0.500
```

Main lines, in order of rising 2θ (10° ≤ 2θ ≤ 90°):
11.2 deg, 7.883 Å, I = 65; 27.7 deg, 3.225 Å, I = 45; 31.5 deg, 2.836 Å, I = 100; 35.0 deg, 2.565 Å, I = 25; 39.8 deg, 2.264 Å, I = 26; 50.2 deg, 1.818 Å, I = 23



> Number 3 is which compound?

Pm2RuCl